Record 1
The following is a simulated X-ray diffraction stick pattern of MnTl3Cu2Cl8. It was derived from DFT lattice parameters and positions (PBE), using Cu Kα X-rays.
Neutral-atom scattering factors, no anomalous dispersion.

Structure:
Lattice parameters (Å, degrees): 7.0499 7.0499 8.9745 90.00 90.00 120.00
Fractional coordinates of all 14 atoms:
Mn1 0.0000 0.0000 0.0000
Tl1 0.0000 0.0000 0.5000
Tl2 0.3333 0.6667 0.1433
Tl3 0.6667 0.3333 0.8567
Cu1 0.3333 0.6667 0.7190
Cu2 0.6667 0.3333 0.2810
Cl1 0.1610 0.3220 0.8339
Cl2 0.1610 0.8390 0.8339
Cl3 0.3220 0.1610 0.1661
Cl4 0.3333 0.6667 0.4744
Cl5 0.6667 0.3333 0.5256
Cl6 0.6780 0.8390 0.8339
Cl7 0.8390 0.1610 0.1661
Cl8 0.8390 0.6780 0.1661

Top 12 peaks for 2θ from 10° to 90°, by angle:
- d = 5.048 Å, rel. 33.9, hkl 1 0 1
- d = 3.616 Å, rel. 63.7, hkl 0 1 2
- d = 3.525 Å, rel. 100.0, hkl 1 1 0
- d = 2.991 Å, rel. 17.5, hkl 0 0 3
- d = 2.890 Å, rel. 33.9, hkl 0 2 1
- d = 2.524 Å, rel. 55.1, hkl 2 0 2
- d = 2.281 Å, rel. 17.5, hkl 1 1 3
- d = 2.052 Å, rel. 28.5, hkl 1 2 2
- d = 2.035 Å, rel. 22.0, hkl 3 0 0
- d = 1.808 Å, rel. 16.6, hkl 0 2 4
- d = 1.762 Å, rel. 24.7, hkl 2 2 0
- d = 1.519 Å, rel. 12.9, hkl 2 2 3

Record 2
The following is a simulated X-ray diffraction stick pattern of Cu5MoCl12. It was derived from DFT lattice parameters and positions (PBE), using Cu Kα X-rays.
Neutral-atom scattering factors, no anomalous dispersion.

Structure:
Lattice parameters (Å, degrees): 6.0575 6.7980 12.8640 91.82 96.60 100.75
Fractional coordinates of all 18 atoms:
Cu1 0.0000 0.0000 0.0000
Cu2 0.1234 0.6899 0.4828
Cu3 0.3366 0.6696 0.9994
Cu4 0.6634 0.3304 0.0006
Cu5 0.8766 0.3101 0.5172
Mo1 0.5000 0.5000 0.5000
Cl1 0.0437 0.7434 0.8909
Cl2 0.2096 0.2122 0.5305
Cl3 0.2624 0.5801 0.3469
Cl4 0.2982 0.9313 0.1074
Cl5 0.3614 0.7083 0.6267
Cl6 0.3670 0.4020 0.8936
Cl7 0.6330 0.5980 0.1064
Cl8 0.6386 0.2917 0.3733
Cl9 0.7018 0.0687 0.8926
Cl10 0.7376 0.4199 0.6531
Cl11 0.7904 0.7878 0.4695
Cl12 0.9563 0.2566 0.1091

Top 12 peaks for 2θ from 10° to 90°, by angle:
- d = 6.669 Å, rel. 17.7, hkl 0 1 0
- d = 6.380 Å, rel. 100.0, hkl 0 0 2
- d = 6.047 Å, rel. 10.7, hkl 0 1 -1
- d = 5.782 Å, rel. 10.5, hkl 0 1 1
- d = 4.053 Å, rel. 23.5, hkl 1 1 0
- d = 3.619 Å, rel. 37.3, hkl 1 1 -2
- d = 2.783 Å, rel. 7.7, hkl 2 -1 1
- d = 2.688 Å, rel. 7.2, hkl 1 2 -1
- d = 2.562 Å, rel. 13.3, hkl -1 2 3
- d = 2.525 Å, rel. 9.8, hkl 1 -2 3
- d = 2.302 Å, rel. 16.9, hkl 2 -1 3
- d = 1.911 Å, rel. 7.0, hkl 3 0 1

Record 3
The following is a simulated X-ray diffraction stick pattern of RbCuMoCl6. It was derived from DFT lattice parameters and positions (PBE), using Cu Kα X-rays.
Neutral-atom scattering factors, no anomalous dispersion.

Structure:
Lattice parameters (Å, degrees): 6.4677 6.4677 7.3647 90.00 90.00 120.00
Fractional coordinates of all 9 atoms:
Rb1 0.0000 0.0000 0.0000
Cu1 0.6667 0.3333 0.5000
Mo1 0.3333 0.6667 0.5000
Cl1 0.0107 0.3738 0.6863
Cl2 0.0107 0.6368 0.3137
Cl3 0.3632 0.3738 0.3137
Cl4 0.3632 0.9893 0.6863
Cl5 0.6262 0.6368 0.6863
Cl6 0.6262 0.9893 0.3137

Top 12 peaks for 2θ from 10° to 90°, by angle:
- d = 7.365 Å, rel. 46.8, hkl 0 0 1
- d = 4.458 Å, rel. 100.0, hkl 1 0 1
- d = 3.234 Å, rel. 14.7, hkl 1 1 0
- d = 2.961 Å, rel. 30.5, hkl 2 -1 1
- d = 2.618 Å, rel. 16.6, hkl 2 0 1
- d = 2.430 Å, rel. 72.8, hkl 2 -1 2
- d = 2.035 Å, rel. 22.8, hkl 3 -1 1
- d = 1.867 Å, rel. 24.1, hkl 3 0 0
- d = 1.846 Å, rel. 13.0, hkl 2 0 3
- d = 1.600 Å, rel. 14.6, hkl 1 1 4
- d = 1.520 Å, rel. 11.5, hkl 3 1 1
- d = 1.480 Å, rel. 12.6, hkl 2 2 2